Starting from a crystal structure in Alexandria, relaxed with PBE, the powder XRD pattern of Sm5Al2Sn was calculated for CuKα.
Kinematic intensities with the Lorentz-polarization factor, no thermal factor.

Crystal structure
```
Sm5Al2Sn
1.0
-4.0829 4.0829 6.9317
4.0829 -4.0829 6.9317
4.0829 4.0829 -6.9317
Sm Al Sn
10 4 2
direct
0.0000 0.0000 0.0000
0.0220 0.5220 0.8388
0.1832 0.0220 0.5000
0.3168 0.8168 0.8388
0.4780 0.3168 0.5000
0.5000 0.5000 0.0000
0.5220 0.6832 0.5000
0.6832 0.1832 0.1612
0.8168 0.9780 0.5000
0.9780 0.4780 0.1612
0.1206 0.3794 0.5000
0.3794 0.8794 0.2587
0.6206 0.1206 0.7413
0.8794 0.6206 0.5000
0.2500 0.2500 0.0000
0.7500 0.7500 0.0000
```

Principal peaks in the range 2θ from 10° to 90°, sorted by position:
2θ = 25.23°, d = 3.530 Å, intensity 50; 2θ = 30.07°, d = 2.972 Å, intensity 35; 2θ = 30.97°, d = 2.887 Å, intensity 24; 2θ = 31.22°, d = 2.865 Å, intensity 100; 2θ = 33.93°, d = 2.642 Å, intensity 57; 2θ = 34.74°, d = 2.582 Å, intensity 63; 2θ = 50.11°, d = 1.820 Å, intensity 25; 2θ = 54.54°, d = 1.683 Å, intensity 29; 2θ = 64.74°, d = 1.440 Å, intensity 22; 2θ = 66.80°, d = 1.400 Å, intensity 21